Structure and theoretical X-ray diffraction stick pattern of ScSiGe2P (DFT lattice parameters and positions (PBE); Cu Kα (λ = 1.5418 Å)).
Intensities are scaled so that the largest is 100.

Principal peaks in the range 15 to 90 degrees two-theta, in order of falling intensity:
(hkl)  Position (°2θ)  I_rel
1 1 1  30.9  100
2 0 0  35.1  83
0 0 1  18.3  59
2 0 2  52.0  52
0 0 2  37.1  36
2 0 1  39.9  34
3 1 1  60.4  29
2 2 0  50.5  28
2 2 2  64.3  27
4 2 0  84.9  24

Cell and atoms:
Unit cell a=5.1104 b=5.1104 c=4.8416 alpha=90.00 beta=90.00 gamma=90.00
Positions (direct):
Sc (0.0000, 0.0000, 0.0000)
Si (0.5000, 0.5000, 0.5000)
Ge (0.0000, 0.5000, 0.0000)
Ge (0.5000, 0.0000, 0.0000)
P (0.0000, 0.0000, 0.5000)

---

Structure and theoretical X-ray diffraction stick pattern of GeP2Se4 (DFT lattice parameters and positions (PBE); Cu Kα (λ = 1.5418 Å)).
Intensities are scaled so that the largest is 100.

Principal peaks in the range 15 to 90 degrees two-theta, in order of falling intensity:
(hkl)  Position (°2θ)  I_rel
2 1 1  29.9  100
1 3 2  47.4  36
0 0 2  27.7  28
1 4 1  52.0  26
2 1 3  50.4  23
2 2 0  33.6  18
1 0 1  18.1  16
2 0 2  36.7  14
1 4 3  67.2  12
3 5 2  79.9  12

Cell and atoms:
Unit cell a=7.5408 b=7.5408 c=6.4437 alpha=90.00 beta=90.00 gamma=90.00
Positions (direct):
Ge (0.0000, 0.0000, 0.0000)
Ge (0.5000, 0.5000, 0.5000)
P (0.0000, 0.5000, 0.2500)
P (0.0000, 0.5000, 0.7500)
P (0.5000, 0.0000, 0.2500)
P (0.5000, 0.0000, 0.7500)
Se (0.1726, 0.3253, 0.5000)
Se (0.1747, 0.6726, 0.0000)
Se (0.3253, 0.8274, 0.5000)
Se (0.3274, 0.1747, 0.0000)
Se (0.6726, 0.8253, 0.0000)
Se (0.6747, 0.1726, 0.5000)
Se (0.8253, 0.3274, 0.0000)
Se (0.8274, 0.6747, 0.5000)

---

Structure and theoretical X-ray diffraction stick pattern of SiGe3P4 (DFT lattice parameters and positions (PBE); Cu Kα (λ = 1.5418 Å)).
Intensities are scaled so that the largest is 100.

Principal peaks in the range 15 to 90 degrees two-theta, in order of falling intensity:
(hkl)  Position (°2θ)  I_rel
0 0 2  31.2  100
2 1 1  28.9  97
0 2 0  30.5  87
4 0 0  38.2  68
4 0 2  50.1  49
2 1 3  54.0  49
2 1 0  24.2  49
0 2 2  44.2  47
2 3 0  50.6  40
4 2 0  49.7  40

Cell and atoms:
Unit cell a=9.4132 b=5.8642 c=5.7410 alpha=90.00 beta=90.00 gamma=90.00
Positions (direct):
Si (0.0000, 0.1876, 0.0000)
Si (0.5000, 0.8124, 0.5000)
Ge (0.0000, 0.7979, 0.5203)
Ge (0.2492, 0.6980, 0.0096)
Ge (0.2508, 0.3020, 0.5096)
Ge (0.5000, 0.2021, 0.0203)
Ge (0.7492, 0.3020, 0.5096)
Ge (0.7508, 0.6980, 0.0096)
P (0.0000, 0.2111, 0.6013)
P (0.0000, 0.8113, 0.0902)
P (0.2296, 0.2966, 0.0900)
P (0.2704, 0.7034, 0.5900)
P (0.5000, 0.1887, 0.5902)
P (0.5000, 0.7889, 0.1013)
P (0.7296, 0.7034, 0.5900)
P (0.7704, 0.2966, 0.0900)

---

Structure and theoretical X-ray diffraction stick pattern of SmTc2Ge2P (DFT lattice parameters and positions (PBE); Cu Kα (λ = 1.5418 Å)).
Intensities are scaled so that the largest is 100.

Principal peaks in the range 15 to 90 degrees two-theta, in order of falling intensity:
(hkl)  Position (°2θ)  I_rel
1 1 1  32.6  100
2 0 0  40.4  66
1 0 2  38.0  57
2 1 2  56.7  35
3 1 1  68.6  23
2 2 0  58.5  22
2 0 4  81.3  15
1 0 1  25.6  13
0 0 2  32.1  13
2 0 2  52.5  12

Cell and atoms:
Unit cell a=4.4639 b=4.4639 c=5.5791 alpha=90.00 beta=90.00 gamma=90.00
Positions (direct):
Sm (0.0000, 0.0000, 0.0000)
Tc (0.0000, 0.5000, 0.5000)
Tc (0.5000, 0.0000, 0.5000)
Ge (0.5000, 0.5000, 0.2235)
Ge (0.5000, 0.5000, 0.7765)
P (0.0000, 0.0000, 0.5000)